[1]
Structure and computed powder diffraction line list of Ac2ReN7 (a GGA-PBE-relaxed structure; a wavelength of 1.5418 Å).
Intensities are scaled so that the largest is 100.

Most intense lines, 15 to 90 degrees two-theta, sorted by position:
- (1 1 1), 2θ = 19.27°, rel. 17
- (2 0 0), 2θ = 22.29°, rel. 14
- (2 2 0), 2θ = 31.72°, rel. 100
- (3 1 1), 2θ = 37.39°, rel. 10
- (2 2 2), 2θ = 39.11°, rel. 11
- (4 0 0), 2θ = 45.48°, rel. 25
- (3 3 1), 2θ = 49.82°, rel. 5
- (4 2 0), 2θ = 51.21°, rel. 7
- (4 2 2), 2θ = 56.51°, rel. 41
- (4 4 0), 2θ = 66.27°, rel. 16
- (6 2 0), 2θ = 75.35°, rel. 18
- (4 4 4), 2θ = 84.06°, rel. 6

Structural model:
Lattice parameters (Å, degrees): 7.9777 7.9777 7.9777 90.00 90.00 90.00
Space group Fm-3m (No. 225)
Inequivalent atoms, fractional coordinates:
Ac 0.2500 0.2500 0.2500 x8
Re 0.0000 0.0000 0.0000 x4
N 0.0000 0.0000 0.2480 x24
N 0.0000 0.0000 0.5000 x4

[2]
Structure and computed powder diffraction line list of TcPd2Pt6 (a GGA-PBE-relaxed structure; a wavelength of 1.5418 Å).
Intensities are scaled so that the largest is 100.

Most intense lines, 15 to 90 degrees two-theta, sorted by position:
- (0 0 6), 2θ = 25.29°, rel. 9
- (1 0 0), 2θ = 37.46°, rel. 48
- (1 0 1), 2θ = 37.71°, rel. 17
- (0 0 9), 2θ = 38.33°, rel. 47
- (1 0 3), 2θ = 39.66°, rel. 15
- (1 0 4), 2θ = 41.30°, rel. 53
- (1 0 5), 2θ = 43.34°, rel. 100
- (1 0 9), 2θ = 54.67°, rel. 28
- (1 1 0), 2θ = 67.57°, rel. 31
- (1 0 14), 2θ = 74.20°, rel. 28
- (1 1 9), 2θ = 80.45°, rel. 33
- (2 0 5), 2θ = 83.76°, rel. 15

Structural model:
Lattice parameters (Å, degrees): 2.7725 2.7725 21.1335 90.00 90.00 120.00
Space group P-6m2 (No. 187)
Inequivalent atoms, fractional coordinates:
Tc 0.0000 0.0000 0.0000 x1
Pd 0.3333 0.6667 0.3270 x2
Pt 0.0000 0.0000 0.2157 x2
Pt 0.0000 0.0000 0.4377 x2
Pt 0.3333 0.6667 0.1025 x2

[3]
Structure and computed powder diffraction line list of NpCuSi2Rh (a GGA-PBE-relaxed structure; a wavelength of 1.5418 Å).
Intensities are scaled so that the largest is 100.

Most intense lines, 15 to 90 degrees two-theta, sorted by position:
- (1 0 1), 2θ = 23.95°, rel. 61
- (1 0 3), 2θ = 34.75°, rel. 47
- (0 0 4), 2θ = 35.37°, rel. 20
- (1 1 2), 2θ = 36.42°, rel. 100
- (2 0 0), 2θ = 45.45°, rel. 34
- (1 0 5), 2θ = 50.43°, rel. 19
- (2 1 1), 2θ = 52.01°, rel. 16
- (2 1 3), 2θ = 58.45°, rel. 22
- (2 0 4), 2θ = 58.86°, rel. 18
- (1 1 6), 2θ = 64.18°, rel. 17
- (2 1 5), 2θ = 70.20°, rel. 14
- (3 1 2), 2θ = 78.00°, rel. 22

Structural model:
Lattice parameters (Å, degrees): 3.9916 3.9916 10.1520 90.00 90.00 90.00
Space group I-4m2 (No. 119)
Inequivalent atoms, fractional coordinates:
Np 0.0000 0.0000 0.0000 x2
Cu 0.0000 0.5000 0.7500 x2
Si 0.0000 0.0000 0.3840 x4
Rh 0.0000 0.5000 0.2500 x2

[4]
Structure and computed powder diffraction line list of Ta3SiNi2 (a GGA-PBE-relaxed structure; a wavelength of 1.5418 Å).
Intensities are scaled so that the largest is 100.

Most intense lines, 15 to 90 degrees two-theta, sorted by position:
- (2 2 0), 2θ = 22.47°, rel. 13
- (4 0 0), 2θ = 31.99°, rel. 43
- (3 3 1), 2θ = 34.94°, rel. 21
- (4 2 2), 2θ = 39.44°, rel. 56
- (3 3 3), 2θ = 41.94°, rel. 100
- (4 4 0), 2θ = 45.86°, rel. 40
- (5 5 1), 2θ = 58.93°, rel. 16
- (7 3 1), 2θ = 63.89°, rel. 19
- (7 3 3), 2θ = 68.64°, rel. 14
- (8 2 2), 2θ = 71.53°, rel. 44
- (9 3 3), 2θ = 86.52°, rel. 16
- (10 2 0), 2θ = 89.24°, rel. 14

Structural model:
Lattice parameters (Å, degrees): 11.1924 11.1924 11.1924 90.00 90.00 90.00
Space group Fd-3m (No. 227, origin choice 2)
Inequivalent atoms, fractional coordinates:
Ta 0.0770 0.3750 0.3750 x48
Si 0.0000 0.0000 0.5000 x16
Ni 0.0424 0.0424 0.7076 x32

[5]
Structure and computed powder diffraction line list of SrZr4SnO12 (a GGA-PBE-relaxed structure; a wavelength of 1.5418 Å).
Intensities are scaled so that the largest is 100.

Most intense lines, 15 to 90 degrees two-theta, sorted by position:
- (1 1 1), 2θ = 18.91°, rel. 100
- (2 0 0), 2θ = 21.09°, rel. 19
- (0 2 0), 2θ = 21.92°, rel. 18
- (0 0 2), 2θ = 22.56°, rel. 21
- (2 2 0), 2θ = 30.60°, rel. 84
- (2 0 2), 2θ = 31.07°, rel. 65
- (0 2 2), 2θ = 31.66°, rel. 71
- (4 0 0), 2θ = 42.94°, rel. 30
- (0 4 0), 2θ = 44.70°, rel. 26
- (4 2 2), 2θ = 54.32°, rel. 34
- (2 4 2), 2θ = 55.44°, rel. 30
- (2 2 4), 2θ = 56.31°, rel. 21

Structural model:
Lattice parameters (Å, degrees): 8.4251 8.1088 7.8841 90.00 90.00 90.00
Space group Amm2 (No. 38)
Inequivalent atoms, fractional coordinates:
Sr 0.0000 0.0000 0.0000 x2
Zr 0.2574 0.2374 0.3079 x8
Sn 0.5000 0.0000 0.6104 x2
O 0.0000 0.2256 0.3066 x4
O 0.2154 0.1926 0.0571 x8
O 0.2712 0.0000 0.7653 x4
O 0.3351 0.0000 0.4039 x4
O 0.5000 0.2245 0.7282 x4

[6]
Structure and computed powder diffraction line list of MnRe2Ag (a GGA-PBE-relaxed structure; a wavelength of 1.5418 Å).
Intensities are scaled so that the largest is 100.

Most intense lines, 15 to 90 degrees two-theta, sorted by position:
- (0 0 1), 2θ = 18.24°, rel. 31
- (1 1 0), 2θ = 34.76°, rel. 13
- (2 0 -2), 2θ = 39.05°, rel. 52
- (4 0 0), 2θ = 39.84°, rel. 51
- (1 1 1), 2θ = 40.32°, rel. 100
- (2 0 2), 2θ = 45.13°, rel. 39
- (3 1 -1), 2θ = 47.00°, rel. 65
- (1 1 -3), 2θ = 66.66°, rel. 20
- (5 1 1), 2θ = 67.75°, rel. 20
- (3 1 3), 2θ = 80.01°, rel. 12
- (4 2 0), 2θ = 83.56°, rel. 12
- (2 2 2), 2θ = 87.15°, rel. 13

Structural model:
Lattice parameters (Å, degrees): 9.1760 2.6930 4.9317 90.00 99.47 90.00
Space group Cm (No. 8)
Inequivalent atoms, fractional coordinates:
Mn 0.0000 0.0000 0.0000 x2
Re 0.0130 0.5000 0.5177 x2
Re 0.2704 0.0000 0.7333 x2
Ag 0.2549 0.5000 0.2280 x2

[7]
Structure and computed powder diffraction line list of Sc2TlTcPt (a GGA-PBE-relaxed structure; a wavelength of 1.5418 Å).
Intensities are scaled so that the largest is 100.

Most intense lines, 15 to 90 degrees two-theta, sorted by position:
- (1 0 0), 2θ = 17.70°, rel. 100
- (1 1 0), 2θ = 25.13°, rel. 85
- (1 1 1), 2θ = 30.73°, rel. 26
- (0 0 2), 2θ = 35.22°, rel. 38
- (2 0 0), 2θ = 35.84°, rel. 72
- (1 0 2), 2θ = 39.68°, rel. 28
- (2 1 0), 2θ = 40.24°, rel. 27
- (1 1 2), 2θ = 43.75°, rel. 41
- (2 0 2), 2θ = 51.12°, rel. 52
- (2 2 0), 2θ = 51.59°, rel. 25
- (2 1 2), 2θ = 54.53°, rel. 23
- (2 2 2), 2θ = 64.00°, rel. 26

Structural model:
Lattice parameters (Å, degrees): 5.0112 5.0112 5.0971 90.00 90.00 90.00
Space group P4/mmm (No. 123)
Inequivalent atoms, fractional coordinates:
Sc 0.0000 0.5000 0.0000 x2
Tl 0.0000 0.0000 0.5000 x1
Tc 0.5000 0.5000 0.5000 x1
Pt 0.0000 0.0000 0.0000 x1

[8]
Structure and computed powder diffraction line list of Pu3Ga6Pd20 (a GGA-PBE-relaxed structure; a wavelength of 1.5418 Å).
Intensities are scaled so that the largest is 100.

Most intense lines, 15 to 90 degrees two-theta, sorted by position:
- (4 2 0), 2θ = 31.94°, rel. 17
- (4 2 2), 2θ = 35.08°, rel. 45
- (3 3 3), 2θ = 37.29°, rel. 100
- (4 4 0), 2θ = 40.73°, rel. 58
- (5 3 1), 2θ = 42.69°, rel. 17
- (6 0 0), 2θ = 43.32°, rel. 11
- (6 2 2), 2θ = 48.17°, rel. 22
- (8 0 0), 2θ = 58.97°, rel. 10
- (6 6 0), 2θ = 62.93°, rel. 32
- (5 5 5), 2θ = 64.39°, rel. 16
- (8 4 4), 2θ = 74.14°, rel. 31
- (9 3 3), 2θ = 75.49°, rel. 10

Structural model:
Lattice parameters (Å, degrees): 12.5313 12.5313 12.5313 90.00 90.00 90.00
Space group Fm-3m (No. 225)
Inequivalent atoms, fractional coordinates:
Pu 0.0000 0.0000 0.0000 x4
Pu 0.2500 0.2500 0.2500 x8
Ga 0.0000 0.0000 0.2739 x24
Pd 0.0000 0.1724 0.1724 x48
Pd 0.1211 0.1211 0.3789 x32

[9]
Structure and computed powder diffraction line list of Mg7Cd2Rh2 (a GGA-PBE-relaxed structure; a wavelength of 1.5418 Å).
Intensities are scaled so that the largest is 100.

Most intense lines, 15 to 90 degrees two-theta, sorted by position:
- (1 1 -1), 2θ = 19.87°, rel. 24
- (2 0 1), 2θ = 23.17°, rel. 100
- (0 2 1), 2θ = 25.81°, rel. 64
- (0 0 2), 2θ = 27.79°, rel. 19
- (1 3 0), 2θ = 34.16°, rel. 18
- (1 3 1), 2θ = 37.00°, rel. 16
- (4 0 0), 2θ = 37.57°, rel. 28
- (2 2 2), 2θ = 40.37°, rel. 60
- (3 1 -2), 2θ = 41.38°, rel. 21
- (3 3 -1), 2θ = 45.98°, rel. 23
- (4 2 1), 2θ = 46.14°, rel. 20
- (2 0 3), 2θ = 46.47°, rel. 15

Structural model:
Lattice parameters (Å, degrees): 9.5769 8.1874 6.4213 90.00 90.10 90.00
Space group C2/m (No. 12)
Inequivalent atoms, fractional coordinates:
Mg 0.0000 0.0000 0.0000 x2
Mg 0.0001 0.5000 0.2393 x4
Mg 0.2498 0.2497 0.2425 x8
Cd 0.0000 0.1747 0.5000 x4
Rh 0.2237 0.5000 0.0004 x4

[10]
Structure and computed powder diffraction line list of PrScCo2H8 (a GGA-PBE-relaxed structure; a wavelength of 1.5418 Å).
Intensities are scaled so that the largest is 100.

Most intense lines, 15 to 90 degrees two-theta, sorted by position:
- (1 0 1), 2θ = 22.85°, rel. 85
- (0 1 2), 2θ = 24.67°, rel. 28
- (1 0 4), 2θ = 30.98°, rel. 79
- (0 0 6), 2θ = 32.23°, rel. 38
- (0 1 5), 2θ = 35.03°, rel. 64
- (1 1 0), 2θ = 38.97°, rel. 100
- (0 2 4), 2θ = 50.59°, rel. 20
- (2 -1 6), 2θ = 51.43°, rel. 60
- (2 0 5), 2θ = 53.39°, rel. 19
- (1 0 10), 2θ = 60.14°, rel. 25
- (2 1 4), 2θ = 65.65°, rel. 18
- (3 -2 5), 2θ = 68.05°, rel. 18

Structural model:
Lattice parameters (Å, degrees): 4.6227 4.6227 16.6653 90.00 90.00 120.00
Space group R-3 (No. 148, hexagonal axes)
Inequivalent atoms, fractional coordinates:
Pr 0.0000 0.0000 0.0000 x3
Sc 0.0000 0.0000 0.5000 x3
Co 0.0000 0.0000 0.1924 x6
H 0.0000 0.0000 0.2947 x6
H 0.0410 0.2826 0.8811 x18

[11]
Structure and computed powder diffraction line list of ZrRh2Se (a GGA-PBE-relaxed structure; a wavelength of 1.5418 Å).
Intensities are scaled so that the largest is 100.

Most intense lines, 15 to 90 degrees two-theta, sorted by position:
- (0 1 0), 2θ = 20.58°, rel. 1
- (1 0 1), 2θ = 33.18°, rel. 1
- (1 1 1), 2θ = 39.38°, rel. 100
- (0 2 0), 2θ = 41.85°, rel. 17
- (2 0 0), 2θ = 54.87°, rel. 7
- (0 2 2), 2θ = 58.87°, rel. 12
- (2 0 2), 2θ = 69.66°, rel. 7
- (2 2 0), 2θ = 71.32°, rel. 7
- (1 1 3), 2θ = 71.49°, rel. 13
- (1 3 1), 2θ = 74.76°, rel. 12
- (2 2 2), 2θ = 84.69°, rel. 8
- (0 0 4), 2θ = 84.91°, rel. 2

Structural model:
Lattice parameters (Å, degrees): 3.3467 4.3167 4.5682 90.00 90.00 90.00
Space group Pmmm (No. 47)
Inequivalent atoms, fractional coordinates:
Zr 0.0000 0.0000 0.0000 x1
Rh 0.0000 0.5000 0.5000 x1
Rh 0.5000 0.5000 0.0000 x1
Se 0.5000 0.0000 0.5000 x1

[12]
Structure and computed powder diffraction line list of BePd3Au2 (a GGA-PBE-relaxed structure; a wavelength of 1.5418 Å).
Intensities are scaled so that the largest is 100.

Most intense lines, 15 to 90 degrees two-theta, sorted by position:
- (1 1 1), 2θ = 25.85°, rel. 8
- (1 3 1), 2θ = 32.90°, rel. 24
- (0 0 3), 2θ = 38.79°, rel. 8
- (1 3 2), 2θ = 39.99°, rel. 100
- (2 0 0), 2θ = 43.26°, rel. 43
- (0 0 4), 2θ = 52.57°, rel. 10
- (2 6 0), 2θ = 62.83°, rel. 14
- (2 0 4), 2θ = 70.36°, rel. 14
- (3 3 1), 2θ = 72.76°, rel. 6
- (1 3 5), 2θ = 75.44°, rel. 7
- (3 3 2), 2θ = 77.13°, rel. 28
- (2 6 4), 2θ = 86.30°, rel. 8

Structural model:
Lattice parameters (Å, degrees): 4.1812 12.5561 6.9638 90.00 90.00 90.00
Space group Cmmm (No. 65)
Inequivalent atoms, fractional coordinates:
Be 0.0000 0.1612 0.0000 x4
Pd 0.0000 0.0000 0.2328 x4
Pd 0.0000 0.3218 0.2065 x8
Au 0.0000 0.1677 0.5000 x4
Au 0.0000 0.5000 0.0000 x2
Au 0.0000 0.5000 0.5000 x2